Simulated powder XRD pattern of Hf3Zr5In3 for CuKα, from a structure optimized by DFT (GGA-PBE).
No peak broadening, texture or thermal motion is included.

Principal peaks in the range 10° ≤ 2θ ≤ 80°, by angle:
index	2θ (°)	I (rel.)
1 0 0	10.23	59
2 1 0	27.28	51
1 0 1	30.52	39
1 1 1	33.94	45
2 2 0	35.96	41
3 1 0	37.49	100
2 1 1	40.00	85
2 2 1	46.63	74
3 2 1	54.87	39
6 0 1	72.22	34

Structural model:
a b c (Å): 9.9885 9.9885 3.1124
angles (deg): 90.00 90.00 120.00
Fractional positions:
1 Hf 0.0000 0.8337 0.0000
2 Hf 0.1663 0.1663 0.0000
3 Hf 0.8337 0.0000 0.0000
4 Zr 0.0000 0.3335 0.0000
5 Zr 0.3335 0.0000 0.0000
6 Zr 0.3333 0.6667 0.0000
7 Zr 0.6667 0.3333 0.0000
8 Zr 0.6665 0.6665 0.0000
9 In 0.0000 0.5848 0.5000
10 In 0.4152 0.4152 0.5000
11 In 0.5848 0.0000 0.5000